Record 1
This entry pairs a crystal structure of BaLiRuO4 with its calculated X-ray powder pattern. Radiation: λ = 1.5418 Å (Cu Kα). Structure: a cell relaxed with GGA-PBE.
Lines closer than 0.1° are merged.

Top 8 peaks for 10° ≤ 2θ ≤ 80°, by angle:
- 2θ 19.5, intensity 100, hkl 1 0 1
- 2θ 30.5, intensity 23, hkl 2 0 0
- 2θ 32.8, intensity 59, hkl 1 1 2
- 2θ 36.4, intensity 40, hkl 1 2 1
- 2θ 40.3, intensity 17, hkl 1 0 3
- 2θ 43.7, intensity 14, hkl 2 2 0
- 2θ 51.4, intensity 13, hkl 2 1 3
- 2θ 55.7, intensity 25, hkl 1 3 2

Cell and atoms:
Lattice parameters (Å, degrees): 5.8625 5.8625 7.2676 90.00 90.00 90.00
Space group I-4 (No. 82)
Inequivalent atoms, fractional coordinates:
Ba (0.0000, 0.0000, 0.0000)
Li (0.0000, 0.0000, 0.5000)
Ru (0.0000, 0.5000, 0.2500)
O (0.1452, 0.7515, 0.3473)

=====

Record 2
This entry pairs a crystal structure of HoPd2O4 with its calculated X-ray powder pattern. Radiation: λ = 1.5418 Å (Cu Kα). Structure: a cell relaxed with GGA-PBE.
Lines closer than 0.1° are merged.

Top 8 peaks for 10° ≤ 2θ ≤ 80°, by angle:
- 2θ 24.1, intensity 48, hkl 0 2 2
- 2θ 28.8, intensity 100, hkl 1 1 3
- 2θ 31.7, intensity 90, hkl 1 3 1
- 2θ 36.8, intensity 37, hkl 2 2 2
- 2θ 43.4, intensity 84, hkl 3 1 1
- 2θ 49.3, intensity 53, hkl 0 4 4
- 2θ 49.4, intensity 30, hkl 1 5 1
- 2θ 69.3, intensity 26, hkl 4 4 0

Cell and atoms:
Lattice parameters (Å, degrees): 6.5183 9.7596 11.3103 90.00 90.00 90.00
Space group Fddd (No. 70, origin choice 2)
Inequivalent atoms, fractional coordinates:
Ho (0.1250, 0.1250, 0.1250)
Pd (0.0000, 0.0000, 0.5000)
O (0.0578, 0.2955, 0.9889)

=====

Record 3
This entry pairs a crystal structure of Ta5Ti5P6 with its calculated X-ray powder pattern. Radiation: λ = 1.5418 Å (Cu Kα). Structure: a cell relaxed with GGA-PBE.
Lines closer than 0.1° are merged.

Top 8 peaks for 10° ≤ 2θ ≤ 80°, by angle:
- 2θ 14.0, intensity 44, hkl 0 1 1
- 2θ 30.1, intensity 82, hkl 1 0 2
- 2θ 35.2, intensity 32, hkl 2 0 0
- 2θ 38.1, intensity 27, hkl 2 1 1
- 2θ 41.7, intensity 100, hkl 1 4 2
- 2θ 41.8, intensity 38, hkl 1 1 3
- 2θ 43.3, intensity 43, hkl 2 3 1
- 2θ 67.7, intensity 33, hkl 3 4 2

Cell and atoms:
Lattice parameters (Å, degrees): 5.1003 12.6561 7.2802 90.00 90.00 90.00
Space group Amm2 (No. 38)
Inequivalent atoms, fractional coordinates:
Ta (0.0000, 0.0000, 0.0000)
Ta (0.0000, 0.1237, 0.3704)
Ta (0.5000, 0.1271, 0.1176)
Ti (0.2512, 0.1666, 0.7456)
Ti (0.5000, 0.0000, 0.4972)
P (0.0000, 0.0000, 0.6414)
P (0.0000, 0.1984, 0.0473)
P (0.5000, 0.0000, 0.8500)
P (0.5000, 0.1938, 0.4423)

=====

Record 4
This entry pairs a crystal structure of Na3U2AuSe6 with its calculated X-ray powder pattern. Radiation: λ = 1.5418 Å (Cu Kα). Structure: a cell relaxed with GGA-PBE.
Lines closer than 0.1° are merged.

Top 8 peaks for 10° ≤ 2θ ≤ 80°, by angle:
- 2θ 12.6, intensity 100, hkl 0 0 1
- 2θ 25.4, intensity 32, hkl 1 3 0
- 2θ 30.2, intensity 48, hkl 2 0 -2
- 2θ 30.4, intensity 95, hkl 1 3 1
- 2θ 39.2, intensity 25, hkl 1 3 2
- 2θ 42.7, intensity 55, hkl 2 0 2
- 2θ 44.1, intensity 34, hkl 3 3 -1
- 2θ 54.3, intensity 21, hkl 4 0 0

Cell and atoms:
Lattice parameters (Å, degrees): 7.1305 12.2819 7.4252 90.00 108.70 90.00
Space group C2/m (No. 12)
Inequivalent atoms, fractional coordinates:
Na (0.0000, 0.0000, 0.0000)
Na (0.0000, 0.3396, 0.0000)
U (0.0000, 0.1676, 0.5000)
Au (0.0000, 0.5000, 0.5000)
Se (0.2313, 0.0000, 0.7317)
Se (0.2501, 0.1720, 0.2687)

=====

Record 5
This entry pairs a crystal structure of AgSe with its calculated X-ray powder pattern. Radiation: λ = 1.5418 Å (Cu Kα). Structure: a cell relaxed with GGA-PBE.
Lines closer than 0.1° are merged.

Top 8 peaks for 10° ≤ 2θ ≤ 80°, by angle:
- 2θ 13.2, intensity 88, hkl 0 0 1
- 2θ 31.1, intensity 48, hkl 1 0 -1
- 2θ 33.4, intensity 100, hkl 0 1 2
- 2θ 36.5, intensity 37, hkl 1 0 1
- 2θ 37.2, intensity 24, hkl 1 1 -1
- 2θ 40.4, intensity 46, hkl 0 2 0
- 2θ 41.9, intensity 100, hkl 1 1 1
- 2θ 45.3, intensity 40, hkl 0 1 3

Cell and atoms:
Lattice parameters (Å, degrees): 2.9454 4.4675 6.8798 90.00 102.27 90.00
Space group P2_1/m (No. 11)
Inequivalent atoms, fractional coordinates:
Ag (0.2054, 0.2500, 0.4086)
Se (0.0985, 0.7500, 0.1945)

=====

Record 6
This entry pairs a crystal structure of BeAl6Cu10 with its calculated X-ray powder pattern. Radiation: λ = 1.5418 Å (Cu Kα). Structure: a cell relaxed with GGA-PBE.
Lines closer than 0.1° are merged.

Top 8 peaks for 10° ≤ 2θ ≤ 80°, by angle:
- 2θ 14.4, intensity 18, hkl 1 0 0
- 2θ 28.9, intensity 18, hkl 2 0 0
- 2θ 30.7, intensity 27, hkl 2 -1 1
- 2θ 38.6, intensity 12, hkl 2 1 0
- 2θ 42.7, intensity 11, hkl 3 -1 1
- 2θ 43.9, intensity 100, hkl 1 1 2
- 2θ 44.0, intensity 91, hkl 3 0 0
- 2θ 63.9, intensity 27, hkl 4 -2 2

Cell and atoms:
Lattice parameters (Å, degrees): 7.1260 7.1260 5.0630 90.00 90.00 120.00
Space group P-31m (No. 162)
Inequivalent atoms, fractional coordinates:
Be (0.0000, 0.0000, 0.0000)
Al (0.0000, 0.3467, 0.8236)
Cu (0.0000, 0.3001, 0.3335)
Cu (0.3333, 0.6667, 0.0000)
Cu (0.3333, 0.6667, 0.5000)

=====

Record 7
This entry pairs a crystal structure of PaCu4B3O12 with its calculated X-ray powder pattern. Radiation: λ = 1.5418 Å (Cu Kα). Structure: a cell relaxed with GGA-PBE.
Lines closer than 0.1° are merged.

Top 8 peaks for 10° ≤ 2θ ≤ 80°, by angle:
- 2θ 17.7, intensity 95, hkl 1 1 0
- 2θ 31.0, intensity 44, hkl 2 1 1
- 2θ 35.9, intensity 100, hkl 2 2 0
- 2θ 40.3, intensity 46, hkl 3 0 1
- 2θ 48.1, intensity 49, hkl 3 1 2
- 2θ 51.7, intensity 19, hkl 4 0 0
- 2θ 64.5, intensity 47, hkl 4 2 2
- 2θ 67.5, intensity 23, hkl 4 3 1

Cell and atoms:
Lattice parameters (Å, degrees): 7.0746 7.0746 7.0746 90.00 90.00 90.00
Space group Im-3 (No. 204)
Inequivalent atoms, fractional coordinates:
Pa (0.0000, 0.0000, 0.0000)
Cu (0.2500, 0.2500, 0.2500)
B (0.0000, 0.0000, 0.5000)
O (0.0000, 0.3330, 0.1511)

=====

Record 8
This entry pairs a crystal structure of TbHoAu with its calculated X-ray powder pattern. Radiation: λ = 1.5418 Å (Cu Kα). Structure: a cell relaxed with GGA-PBE.
Lines closer than 0.1° are merged.

Top 8 peaks for 10° ≤ 2θ ≤ 80°, by angle:
- 2θ 28.0, intensity 26, hkl 1 2 0
- 2θ 28.7, intensity 24, hkl 2 1 0
- 2θ 29.2, intensity 23, hkl 1 0 2
- 2θ 31.5, intensity 43, hkl 2 1 -1
- 2θ 31.8, intensity 39, hkl 2 1 1
- 2θ 36.2, intensity 100, hkl 0 2 2
- 2θ 39.8, intensity 28, hkl 1 3 0
- 2θ 43.6, intensity 23, hkl 3 1 1

Cell and atoms:
Lattice parameters (Å, degrees): 6.8867 7.1902 6.8704 90.00 90.76 90.00
Space group P2_1/c (No. 14)
Inequivalent atoms, fractional coordinates:
Tb (0.0584, 0.2485, 0.0006)
Ho (0.3871, 0.5898, 0.2489)
Au (0.2214, 0.5391, 0.7552)

=====

Record 9
This entry pairs a crystal structure of BaNa3P2O8 with its calculated X-ray powder pattern. Radiation: λ = 1.5418 Å (Cu Kα). Structure: a cell relaxed with GGA-PBE.
Lines closer than 0.1° are merged.

Top 8 peaks for 10° ≤ 2θ ≤ 80°, by angle:
- 2θ 12.3, intensity 44, hkl 0 0 1
- 2θ 18.2, intensity 38, hkl 1 0 0
- 2θ 22.1, intensity 80, hkl 0 1 1
- 2θ 30.9, intensity 98, hkl 0 1 2
- 2θ 31.8, intensity 100, hkl 1 1 0
- 2θ 34.3, intensity 43, hkl 1 1 1
- 2θ 45.0, intensity 59, hkl 2 0 2
- 2θ 56.2, intensity 28, hkl 1 2 2

Cell and atoms:
Lattice parameters (Å, degrees): 5.6195 5.6195 7.1813 90.00 90.00 120.00
Space group P-3m1 (No. 164)
Inequivalent atoms, fractional coordinates:
Ba (0.0000, 0.0000, 0.0000)
Na (0.0000, 0.0000, 0.5000)
Na (0.3333, 0.6667, 0.6760)
P (0.3333, 0.6667, 0.2214)
O (0.1839, 0.3677, 0.2969)
O (0.3333, 0.6667, 0.0054)

=====

Record 10
This entry pairs a crystal structure of Rb4CuTc2 with its calculated X-ray powder pattern. Radiation: λ = 1.5418 Å (Cu Kα). Structure: a cell relaxed with GGA-PBE.
Lines closer than 0.1° are merged.

Top 8 peaks for 10° ≤ 2θ ≤ 80°, by angle:
- 2θ 10.7, intensity 58, hkl 0 0 2
- 2θ 18.1, intensity 45, hkl 1 1 0
- 2θ 25.7, intensity 100, hkl 2 0 0
- 2θ 27.9, intensity 25, hkl 2 0 2
- 2θ 30.0, intensity 35, hkl 1 0 5
- 2θ 33.8, intensity 24, hkl 2 0 4
- 2θ 36.7, intensity 39, hkl 2 2 0
- 2θ 39.9, intensity 32, hkl 2 1 5

Cell and atoms:
Lattice parameters (Å, degrees): 6.9325 6.9325 16.5047 90.00 90.00 90.00
Space group I4/mmm (No. 139)
Inequivalent atoms, fractional coordinates:
Rb (0.0000, 0.0000, 0.2026)
Rb (0.0000, 0.5000, 0.0000)
Cu (0.0000, 0.0000, 0.0000)
Tc (0.0000, 0.0000, 0.4380)

=====

Record 11
This entry pairs a crystal structure of SrLi2Hg6 with its calculated X-ray powder pattern. Radiation: λ = 1.5418 Å (Cu Kα). Structure: a cell relaxed with GGA-PBE.
Lines closer than 0.1° are merged.

Top 8 peaks for 10° ≤ 2θ ≤ 80°, by angle:
- 2θ 20.4, intensity 59, hkl 1 1 0
- 2θ 25.7, intensity 55, hkl 0 0 1
- 2θ 33.0, intensity 71, hkl 1 1 1
- 2θ 35.7, intensity 100, hkl 3 0 0
- 2θ 44.5, intensity 79, hkl 3 0 1
- 2θ 49.4, intensity 23, hkl 2 2 1
- 2θ 62.5, intensity 23, hkl 4 1 1
- 2θ 65.4, intensity 35, hkl 3 0 2

Cell and atoms:
Lattice parameters (Å, degrees): 8.7106 8.7106 3.4666 90.00 90.00 120.00
Space group P6/mmm (No. 191)
Inequivalent atoms, fractional coordinates:
Sr (0.0000, 0.0000, 0.0000)
Li (0.3333, 0.6667, 0.0000)
Hg (0.0000, 0.3386, 0.5000)

=====

Record 12
This entry pairs a crystal structure of CeAl5Cu3 with its calculated X-ray powder pattern. Radiation: λ = 1.5418 Å (Cu Kα). Structure: a cell relaxed with GGA-PBE.
Lines closer than 0.1° are merged.

Top 8 peaks for 10° ≤ 2θ ≤ 80°, by angle:
- 2θ 27.6, intensity 68, hkl 1 1 2
- 2θ 28.4, intensity 37, hkl 0 4 0
- 2θ 28.5, intensity 37, hkl 0 0 4
- 2θ 31.1, intensity 27, hkl 1 3 0
- 2θ 32.0, intensity 61, hkl 1 1 3
- 2θ 34.3, intensity 100, hkl 1 3 2
- 2θ 37.4, intensity 27, hkl 1 1 4
- 2θ 46.0, intensity 39, hkl 2 0 0

Cell and atoms:
Lattice parameters (Å, degrees): 3.9466 12.5834 12.5167 90.00 90.00 90.00
Space group Cmcm (No. 63)
Inequivalent atoms, fractional coordinates:
Ce (0.0000, 0.1585, 0.2500)
Al (0.0000, 0.0000, 0.0000)
Al (0.0000, 0.1994, 0.5661)
Al (0.0000, 0.4441, 0.1488)
Cu (0.0000, 0.1295, 0.7500)
Cu (0.0000, 0.3883, 0.5462)